(1)
Diffraction record for TbGdIn4Cu2. The powder diffraction line list is computed, not measured: it uses a crystal structure in OQMD, relaxed with PBE and Cu Kα (weighted mean of Kα1 and Kα2).
Kinematic intensities with the Lorentz-polarization factor, no thermal factor.

Structure:
```
TbGdIn4Cu2
1.0
7.3447 0.0000 0.0000
0.0000 4.4195 0.0000
0.0000 0.0000 10.7784
Tb Gd In Cu
2 2 8 4
Direct
0.0000 0.0000 0.0000
0.0000 0.5000 0.5000
0.5000 0.0000 0.8595
0.5000 0.5000 0.3595
0.2016 0.0000 0.2917
0.2016 0.5000 0.7917
0.2979 0.0000 0.5675
0.2979 0.5000 0.0675
0.7021 0.0000 0.5675
0.7021 0.5000 0.0675
0.7984 0.0000 0.2917
0.7984 0.5000 0.7917
0.0000 0.0000 0.7178
0.0000 0.5000 0.2178
0.5000 0.0000 0.1419
0.5000 0.5000 0.6419
```

Top 12 peaks for 10 to 90 degrees two-theta, most intense first:
2θ/deg  I (rel.)  index
32.78  100  2 1 1
34.41  63  1 1 3
40.84  36  0 2 0
35.49  27  1 0 4
40.47  26  3 0 2
32.11  25  0 1 3
40.63  20  2 1 3
64.04  18  0 1 7
58.85  17  3 2 2
60.99  16  3 1 5
55.19  15  1 2 4
49.62  14  4 0 0



(2)
Diffraction record for Gd3Mg3Cu2Ir. The powder diffraction line list is computed, not measured: it uses a crystal structure in OQMD, relaxed with PBE and Cu Kα (weighted mean of Kα1 and Kα2).
Kinematic intensities with the Lorentz-polarization factor, no thermal factor.

Structure:
```
Gd3Mg3Cu2Ir
1.0
7.3005 0.0000 0.0000
-3.6503 6.3224 0.0000
0.0000 0.0000 4.2090
Gd Mg Cu Ir
3 3 2 1
Direct
0.0000 0.4049 0.0000
0.4049 0.0000 0.0000
0.5951 0.5951 0.0000
0.0000 0.7606 0.5000
0.2394 0.2394 0.5000
0.7606 0.0000 0.5000
0.3333 0.6667 0.5000
0.6667 0.3333 0.5000
0.0000 0.0000 0.0000
```

Top 12 peaks for 10 to 90 degrees two-theta, most intense first:
2θ/deg  I (rel.)  index
35.52  100  2 0 1
32.47  63  1 1 1
42.94  55  0 0 2
28.23  39  2 0 0
21.11  38  0 0 1
24.38  36  1 1 0
43.55  32  2 1 1
52.19  28  2 0 2
68.41  28  3 2 1
56.88  21  3 1 1
79.10  20  5 0 1
62.35  20  3 0 2



(3)
Diffraction record for LaGdCu2Si4. The powder diffraction line list is computed, not measured: it uses a crystal structure in OQMD, relaxed with PBE and Cu Kα (weighted mean of Kα1 and Kα2).
Kinematic intensities with the Lorentz-polarization factor, no thermal factor.

Structure:
```
LaGdCu2Si4
1.0
4.0467 0.0000 0.0000
0.0000 4.1619 0.0000
0.0000 0.0000 16.9483
La Gd Cu Si
2 2 4 8
Direct
0.0000 0.0000 0.0000
0.0000 0.5000 0.5000
0.5000 0.0000 0.7931
0.5000 0.5000 0.2931
0.0000 0.0000 0.2223
0.0000 0.5000 0.7223
0.5000 0.0000 0.5719
0.5000 0.5000 0.0719
0.0000 0.0000 0.3581
0.0000 0.0000 0.6500
0.0000 0.5000 0.1500
0.0000 0.5000 0.8581
0.5000 0.0000 0.1472
0.5000 0.0000 0.4312
0.5000 0.5000 0.6472
0.5000 0.5000 0.9312
```

Top 12 peaks for 10 to 90 degrees two-theta, most intense first:
2θ/deg  I (rel.)  index
34.76  100  1 1 3
34.11  75  0 1 5
31.28  74  1 1 1
30.55  34  1 0 4
43.49  33  0 2 0
57.48  32  2 1 5
44.79  31  2 0 0
20.97  29  0 0 4
38.88  28  1 0 6
48.50  25  1 0 8
72.19  23  2 1 9
53.40  22  0 1 9



(4)
Diffraction record for GdTmMg2Cu4. The powder diffraction line list is computed, not measured: it uses a crystal structure in OQMD, relaxed with PBE and Cu Kα (weighted mean of Kα1 and Kα2).
Kinematic intensities with the Lorentz-polarization factor, no thermal factor.

Structure:
```
GdTmMg2Cu4
1.0
4.6728 0.0000 0.0000
0.0000 4.6728 0.0000
0.0000 0.0000 6.6199
Gd Tm Mg Cu
1 1 2 4
Direct
0.0000 0.0000 0.0000
0.5000 0.5000 0.5000
0.0000 0.0000 0.5000
0.5000 0.5000 0.0000
0.0000 0.5000 0.2565
0.0000 0.5000 0.7435
0.5000 0.0000 0.2565
0.5000 0.0000 0.7435
```

Top 12 peaks for 10 to 90 degrees two-theta, most intense first:
2θ/deg  I (rel.)  index
38.51  100  2 0 0
23.30  42  1 0 1
69.66  33  3 1 2
45.50  22  2 1 1
55.63  11  2 2 0
82.53  10  4 0 0
61.09  9  3 0 1
55.53  6  0 0 4
87.19  5  3 2 3
74.53  3  3 0 3
74.62  3  3 2 1
26.97  3  0 0 2